Diffraction record for V2O3F. The powder XRD pattern is computed, not measured: it uses the GGA+U geometry in the Materials Project and CuKα.
Kinematic intensities with the Lorentz-polarization factor, no thermal factor.

Structure:
```
data_V2O3F
_chemical_formula_sum 'V16 O24 F8'
_cell_length_a 6.122
_cell_length_b 13.321
_cell_length_c 6.419
_cell_angle_alpha 90.00
_cell_angle_beta 90.00
_cell_angle_gamma 90.00
_symmetry_space_group_name_H-M 'C m m m'
_symmetry_Int_Tables_number 65
_symmetry_space_group_name_Hall '-C 2 2'
loop_
_atom_site_label
_atom_site_type_symbol
_atom_site_fract_x
_atom_site_fract_y
_atom_site_fract_z
V1 V 0.000 0.000 0.000
V2 V 0.000 0.234 0.500
V3 V 0.000 0.500 0.000
V4 V 0.243 0.000 0.500
V5 V 0.250 0.250 0.000
O1 O 0.000 0.097 0.500
O2 O 0.000 0.352 0.000
O3 O 0.246 0.500 0.204
O4 O 0.250 0.250 0.309
F1 F 0.000 0.149 0.000
F2 F 0.000 0.399 0.500
```

Most intense lines, 2θ = 10–90°, by angle:
2theta	d/Å	I/Imax	(hkl)
26.77	3.330	93	0 4 0
27.80	3.209	98	0 0 2
35.16	2.552	100	2 2 1
40.01	2.254	22	2 4 0
40.73	2.215	20	2 0 2
52.90	1.731	59	2 6 1
54.08	1.696	56	2 2 3
55.16	1.665	18	0 8 0
60.49	1.531	19	4 0 0
68.14	1.376	40	2 6 3

=====

Diffraction record for V4O7F5. The powder XRD pattern is computed, not measured: it uses the GGA+U geometry in the Materials Project and CuKα.
Kinematic intensities with the Lorentz-polarization factor, no thermal factor.

Structure:
```
data_V4O7F5
_chemical_formula_sum 'V4 O7 F5'
_cell_length_a 5.349
_cell_length_b 5.421
_cell_length_c 7.389
_cell_angle_alpha 90.48
_cell_angle_beta 90.74
_cell_angle_gamma 90.45
_symmetry_space_group_name_H-M 'P 1'
_symmetry_Int_Tables_number 1
loop_
_symmetry_equiv_pos_as_xyz
'x,y,z'
loop_
_atom_site_label
_atom_site_type_symbol
_atom_site_fract_x
_atom_site_fract_y
_atom_site_fract_z
V1 V 0.000 0.000 0.000
V2 V 0.010 0.933 0.489
V3 V 0.508 0.427 0.509
V4 V 0.520 0.504 0.014
O1 O 0.313 0.191 0.463
O2 O 0.325 0.737 0.023
O3 O 0.486 0.465 0.735
O4 O 0.599 0.455 0.233
O5 O 0.772 0.190 0.945
O6 O 0.776 0.733 0.509
O7 O 0.976 0.978 0.226
F1 F 0.117 0.951 0.745
F2 F 0.265 0.242 0.011
F3 F 0.276 0.685 0.446
F4 F 0.814 0.240 0.526
F5 F 0.821 0.691 0.951
```

Most intense lines, 2θ = 10–90°, by angle:
2theta	d/Å	I/Imax	(hkl)
23.27	3.823	100	1 -1 0
23.46	3.792	100	1 1 0
24.09	3.694	96	0 0 2
33.65	2.664	21	1 1 -2
33.80	2.652	11	1 -1 2
47.58	1.911	22	2 -2 0
47.98	1.896	23	2 2 0
49.34	1.847	20	0 0 4
54.05	1.697	23	2 -2 2
55.32	1.661	10	1 -1 4

=====

Diffraction record for V6O11F. The powder XRD pattern is computed, not measured: it uses the GGA+U geometry in the Materials Project and CuKα.
Kinematic intensities with the Lorentz-polarization factor, no thermal factor.

Structure:
```
data_V6O11F
_chemical_formula_sum 'V12 O22 F2'
_cell_length_a 8.794
_cell_length_b 6.632
_cell_length_c 7.123
_cell_angle_alpha 90.00
_cell_angle_beta 112.78
_cell_angle_gamma 90.00
_symmetry_space_group_name_H-M 'C 1 2 1'
_symmetry_Int_Tables_number 5
loop_
_symmetry_equiv_pos_as_xyz
'x,y,z'
'-x,y,-z'
'x+1/2,y+1/2,z'
'-x+1/2,y+1/2,-z'
loop_
_atom_site_label
_atom_site_type_symbol
_atom_site_fract_x
_atom_site_fract_y
_atom_site_fract_z
V1 V 0.000 0.000 0.000
V2 V 0.000 0.022 0.500
V3 V 0.167 0.545 0.672
V4 V 0.180 0.545 0.182
O1 O 0.000 0.717 0.000
O2 O 0.065 0.524 0.371
O3 O 0.095 0.027 0.290
O4 O 0.173 0.823 0.671
O5 O 0.177 0.230 0.674
O6 O 0.229 0.022 0.029
F1 F 0.000 0.333 0.000
```

Most intense lines, 2θ = 10–90°, by angle:
2theta	d/Å	I/Imax	(hkl)
26.89	3.316	97	0 2 0
27.55	3.237	100	2 0 -2
35.89	2.502	96	3 1 0
40.76	2.214	19	2 2 1
41.22	2.190	19	4 0 -1
53.56	1.711	54	3 3 0
54.31	1.689	56	5 1 -2
55.42	1.658	17	0 4 0
56.88	1.619	17	4 0 -4
68.46	1.370	39	5 3 -2

=====

Diffraction record for V6O7F5. The powder XRD pattern is computed, not measured: it uses the GGA+U geometry in the Materials Project and CuKα.
Kinematic intensities with the Lorentz-polarization factor, no thermal factor.

Structure:
```
data_V6O7F5
_chemical_formula_sum 'V6 O7 F5'
_cell_length_a 4.663
_cell_length_b 5.616
_cell_length_c 7.801
_cell_angle_alpha 86.22
_cell_angle_beta 88.69
_cell_angle_gamma 88.48
_symmetry_space_group_name_H-M 'P 1'
_symmetry_Int_Tables_number 1
loop_
_symmetry_equiv_pos_as_xyz
'x,y,z'
loop_
_atom_site_label
_atom_site_type_symbol
_atom_site_fract_x
_atom_site_fract_y
_atom_site_fract_z
V1 V 0.000 0.000 0.000
V2 V 0.000 0.352 0.690
V3 V 0.037 0.682 0.369
V4 V 0.509 0.509 0.026
V5 V 0.529 0.826 0.690
V6 V 0.532 0.176 0.336
O1 O 0.223 0.641 0.593
O2 O 0.314 0.470 0.256
O3 O 0.324 0.805 0.917
O4 O 0.706 0.877 0.453
O5 O 0.713 0.548 0.792
O6 O 0.722 0.209 0.113
O7 O 0.811 0.044 0.773
F1 F 0.214 0.976 0.242
F2 F 0.217 0.302 0.915
F3 F 0.314 0.143 0.579
F4 F 0.817 0.380 0.454
F5 F 0.820 0.707 0.128
```

Most intense lines, 2θ = 10–90°, by angle:
2theta	d/Å	I/Imax	(hkl)
26.49	3.365	98	1 1 1
27.42	3.253	100	-1 1 1
34.58	2.594	24	0 0 3
34.74	2.582	75	1 1 -2
40.17	2.245	22	1 -2 1
53.37	1.717	43	2 0 -3
54.55	1.682	19	2 2 2
56.59	1.626	17	-2 2 2
59.61	1.551	19	0 2 -4
66.83	1.400	22	0 2 5

=====

Diffraction record for V2O3F. The powder XRD pattern is computed, not measured: it uses the GGA+U geometry in the Materials Project and CuKα.
Kinematic intensities with the Lorentz-polarization factor, no thermal factor.

Structure:
```
data_V2O3F
_chemical_formula_sum 'V16 O24 F8'
_cell_length_a 8.826
_cell_length_b 6.843
_cell_length_c 8.823
_cell_angle_alpha 90.00
_cell_angle_beta 93.31
_cell_angle_gamma 90.00
_symmetry_space_group_name_H-M 'C 1 2 1'
_symmetry_Int_Tables_number 5
loop_
_symmetry_equiv_pos_as_xyz
'x,y,z'
'-x,y,-z'
'x+1/2,y+1/2,z'
'-x+1/2,y+1/2,-z'
loop_
_atom_site_label
_atom_site_type_symbol
_atom_site_fract_x
_atom_site_fract_y
_atom_site_fract_z
V1 V 0.000 0.000 0.000
V2 V 0.000 0.419 0.500
V3 V 0.125 0.458 0.125
V4 V 0.125 0.962 0.625
V5 V 0.250 0.416 0.751
O1 O 0.000 0.157 0.500
O2 O 0.000 0.263 0.000
O3 O 0.028 0.954 0.221
O4 O 0.029 0.458 0.721
O5 O 0.221 0.957 0.028
O6 O 0.222 0.454 0.529
O7 O 0.249 0.153 0.751
F1 F 0.000 0.659 0.000
F2 F 0.000 0.757 0.500
F3 F 0.250 0.256 0.251
```

Most intense lines, 2θ = 10–90°, by angle:
2theta	d/Å	I/Imax	(hkl)
26.04	3.422	93	0 2 0
27.80	3.209	100	2 0 -2
35.30	2.543	94	3 1 1
39.75	2.268	27	2 2 2
40.98	2.202	19	4 0 0
52.18	1.753	52	3 3 1
54.18	1.693	56	5 1 -1
57.44	1.604	17	4 0 -4
61.21	1.514	18	4 0 4
67.53	1.387	38	5 3 -1

=====

Diffraction record for V2O3F. The powder XRD pattern is computed, not measured: it uses the GGA+U geometry in the Materials Project and CuKα.
Kinematic intensities with the Lorentz-polarization factor, no thermal factor.

Structure:
```
data_V2O3F
_chemical_formula_sum 'V12 O18 F6'
_cell_length_a 9.051
_cell_length_b 6.410
_cell_length_c 6.922
_cell_angle_alpha 90.00
_cell_angle_beta 90.00
_cell_angle_gamma 90.00
_symmetry_space_group_name_H-M 'A m m 2'
_symmetry_Int_Tables_number 38
loop_
_symmetry_equiv_pos_as_xyz
'x,y,z'
'-x,-y,z'
'-x,y,z'
'x,-y,z'
'x,y+1/2,z+1/2'
'-x,-y+1/2,z+1/2'
'-x,y+1/2,z+1/2'
'x,-y+1/2,z+1/2'
loop_
_atom_site_label
_atom_site_type_symbol
_atom_site_fract_x
_atom_site_fract_y
_atom_site_fract_z
V1 V 0.000 0.000 0.000
V2 V 0.167 0.000 0.549
V3 V 0.333 0.000 0.095
V4 V 0.500 0.000 0.544
O1 O 0.000 0.000 0.744
O2 O 0.166 0.192 0.048
O3 O 0.333 0.000 0.353
O4 O 0.500 0.193 0.054
F1 F 0.000 0.000 0.352
F2 F 0.334 0.000 0.748
```

Most intense lines, 2θ = 10–90°, by angle:
2theta	d/Å	I/Imax	(hkl)
25.74	3.461	93	0 0 2
27.84	3.205	100	0 2 0
35.35	2.539	91	3 1 1
39.63	2.274	32	3 0 2
41.09	2.197	18	3 2 0
51.89	1.762	49	3 1 3
54.25	1.691	55	3 3 1
57.51	1.603	17	0 4 0
61.47	1.508	18	6 0 0
67.31	1.391	38	3 3 3

=====

Diffraction record for V6O7F5. The powder XRD pattern is computed, not measured: it uses the GGA+U geometry in the Materials Project and CuKα.
Kinematic intensities with the Lorentz-polarization factor, no thermal factor.

Structure:
```
data_V6O7F5
_chemical_formula_sum 'V6 O7 F5'
_cell_length_a 4.753
_cell_length_b 5.599
_cell_length_c 7.778
_cell_angle_alpha 84.98
_cell_angle_beta 89.13
_cell_angle_gamma 87.14
_symmetry_space_group_name_H-M 'P 1'
_symmetry_Int_Tables_number 1
loop_
_symmetry_equiv_pos_as_xyz
'x,y,z'
loop_
_atom_site_label
_atom_site_type_symbol
_atom_site_fract_x
_atom_site_fract_y
_atom_site_fract_z
V1 V 0.000 0.000 0.000
V2 V 0.002 0.315 0.661
V3 V 0.036 0.662 0.325
V4 V 0.485 0.135 0.318
V5 V 0.522 0.478 0.999
V6 V 0.563 0.849 0.651
O1 O 0.211 0.947 0.219
O2 O 0.317 0.454 0.221
O3 O 0.324 0.109 0.573
O4 O 0.704 0.548 0.755
O5 O 0.708 0.188 0.092
O6 O 0.723 0.852 0.429
O7 O 0.824 0.035 0.761
F1 F 0.208 0.293 0.894
F2 F 0.218 0.618 0.564
F3 F 0.317 0.794 0.893
F4 F 0.818 0.356 0.424
F5 F 0.820 0.687 0.093
```

Most intense lines, 2θ = 10–90°, by angle:
2theta	d/Å	I/Imax	(hkl)
25.97	3.431	99	1 1 1
27.27	3.270	100	-1 1 1
34.60	2.593	23	1 1 -2
34.74	2.583	26	0 0 3
35.18	2.551	44	1 -1 2
52.03	1.758	29	2 0 3
53.42	1.715	18	2 2 2
53.85	1.702	27	2 -2 1
56.26	1.635	17	-2 2 2
60.55	1.529	18	0 2 -4

=====

Diffraction record for V6O7F5. The powder XRD pattern is computed, not measured: it uses the GGA+U geometry in the Materials Project and CuKα.
Kinematic intensities with the Lorentz-polarization factor, no thermal factor.

Structure:
```
data_V6O7F5
_chemical_formula_sum 'V12 O14 F10'
_cell_length_a 6.787
_cell_length_b 6.494
_cell_length_c 9.286
_cell_angle_alpha 90.00
_cell_angle_beta 90.10
_cell_angle_gamma 90.00
_symmetry_space_group_name_H-M 'C 1 2 1'
_symmetry_Int_Tables_number 5
loop_
_symmetry_equiv_pos_as_xyz
'x,y,z'
'-x,y,-z'
'x+1/2,y+1/2,z'
'-x+1/2,y+1/2,-z'
loop_
_atom_site_label
_atom_site_type_symbol
_atom_site_fract_x
_atom_site_fract_y
_atom_site_fract_z
V1 V 0.000 0.000 0.000
V2 V 0.000 0.469 0.500
V3 V 0.009 0.498 0.826
V4 V 0.027 0.998 0.326
O1 O 0.000 0.176 0.500
O2 O 0.006 0.804 0.158
O3 O 0.007 0.194 0.156
O4 O 0.186 0.494 0.666
F1 F 0.000 0.787 0.500
F2 F 0.197 0.499 0.003
F3 F 0.208 0.489 0.334
```

Most intense lines, 2θ = 10–90°, by angle:
2theta	d/Å	I/Imax	(hkl)
26.26	3.394	99	2 0 0
27.47	3.247	100	0 2 0
34.72	2.584	97	1 1 3
39.40	2.287	24	2 0 -3
40.26	2.240	22	0 2 3
52.01	1.758	62	3 1 3
53.39	1.716	56	1 3 3
54.05	1.697	18	4 0 0
59.75	1.548	19	0 0 6
67.03	1.396	55	3 3 3